[1]
Theoretical XRD peak list
Compound: RbTi3Cr
Radiation: Cu Kα (weighted mean of Kα1 and Kα2)
Structure: a DFT-relaxed cell (GGA-PBE, Alexandria)
Intensities are scaled so that the largest is 100.

Top 10 peaks for 10 to 90 degrees two-theta, in order of rising 2θ:
Position (°2θ)  I (rel.)
26.16  57
32.19  78
37.34  100
46.16  23
53.83  64
60.81  10
64.12  29
67.34  21
73.57  11
88.47  12

Cell and atoms:
```
RbTi3Cr
1.0
4.8169 0.0000 0.0000
0.0000 4.8169 0.0000
0.0000 0.0000 4.8169
Rb Ti Cr
1 3 1
Direct
0.0000 0.0000 0.0000
0.0000 0.5000 0.5000
0.5000 0.0000 0.5000
0.5000 0.5000 0.0000
0.5000 0.5000 0.5000
```

[2]
Theoretical XRD peak list
Compound: RbTl2Cr
Radiation: Cu Kα (weighted mean of Kα1 and Kα2)
Structure: a DFT-relaxed cell (GGA-PBE, Alexandria)
Intensities are scaled so that the largest is 100.

Top 10 peaks for 10 to 90 degrees two-theta, in order of rising 2θ:
Position (°2θ)  I (rel.)
15.15  100
19.19  30
20.37  80
28.13  37
30.57  96
32.85  50
35.67  33
41.43  52
46.04  57
75.56  28

Cell and atoms:
```
RbTl2Cr
1.0
-3.0822 3.0822 9.2486
3.0822 -3.0822 9.2486
3.0822 3.0822 -9.2486
Rb Tl Cr
2 4 2
Direct
0.3750 0.6250 0.7500
0.6250 0.3750 0.2500
0.0000 0.0000 0.0000
0.0000 0.0000 0.5000
0.0000 0.5000 0.0000
0.5000 0.0000 0.5000
0.1250 0.8750 0.2500
0.8750 0.1250 0.7500
```